(1)
KDy4: theoretical powder diffractogram (a wavelength of 1.5418 Å), based on a cell relaxed with GGA-PBE.
Kinematic intensities with the Lorentz-polarization factor, no thermal factor.

The 8 most intense peaks (10 to 90 degrees two-theta), by angle:
| 2θ (°) | I/Imax |
| --- | --- |
| 27.95 | 100.0 |
| 32.38 | 66.4 |
| 46.45 | 48.6 |
| 55.08 | 46.5 |
| 57.75 | 16.9 |
| 74.84 | 18.9 |
| 77.14 | 21.7 |
| 86.15 | 16.7 |

Structural model:
a = 5.530 Å, b = 5.530 Å, c = 5.530 Å
α = 90.00°, β = 90.00°, γ = 90.00°
Fractional positions:
K 0.000 0.000 0.000
Dy 0.000 0.000 0.500
Dy 0.000 0.500 0.000
Dy 0.500 0.000 0.000
Dy 0.500 0.500 0.500



(2)
KLaDyNbO6: theoretical powder diffractogram (a wavelength of 1.5418 Å), based on a cell relaxed with GGA-PBE.
Kinematic intensities with the Lorentz-polarization factor, no thermal factor.

The 8 most intense peaks (10 to 90 degrees two-theta), by angle:
| 2θ (°) | I/Imax |
| --- | --- |
| 18.26 | 16.4 |
| 30.03 | 100.0 |
| 35.37 | 11.1 |
| 42.98 | 32.1 |
| 53.32 | 39.9 |
| 62.41 | 19.6 |
| 70.80 | 17.4 |
| 86.54 | 20.8 |

Structural model:
a = 5.952 Å, b = 5.952 Å, c = 5.952 Å
α = 60.00°, β = 60.00°, γ = 60.00°
Fractional positions:
K 0.000 0.000 0.000
La 0.500 0.500 0.500
Dy 0.750 0.750 0.750
Nb 0.250 0.250 0.250
O 0.012 0.012 0.488
O 0.012 0.488 0.012
O 0.012 0.488 0.488
O 0.488 0.012 0.012
O 0.488 0.012 0.488
O 0.488 0.488 0.012